Theoretical powder diffraction line list of Er4MgZr4O14 for λ = 1.5418 Å (Cu Kα), from a DFT-relaxed cell (PBE, the Materials Project).
Neutral-atom scattering factors, no anomalous dispersion.

Crystal structure
```
data_Er4MgZr4O14
_space_group_name_H-M_alt 'P m m 2'
_space_group_IT_number 25
_space_group_name_Hall 'P 2 -2'
_cell_length_a 3.4752
_cell_length_b 7.7605
_cell_length_c 11.2931
_cell_angle_alpha 90.00
_cell_angle_beta 90.00
_cell_angle_gamma 90.00
loop_
_atom_site_label
_atom_site_type_symbol
_atom_site_fract_x
_atom_site_fract_y
_atom_site_fract_z
_atom_site_occupancy
Er1 Er 0.0000 0.0000 0.0000 1
Er2 Er 0.0000 0.5000 0.4820 1
Er3 Er 0.5000 0.2280 0.7255 1
Mg1 Mg 0.0000 0.5000 0.1557 1
Zr1 Zr 0.0000 0.0000 0.4866 1
Zr2 Zr 0.0000 0.5000 0.9043 1
Zr3 Zr 0.5000 0.2142 0.2488 1
O1 O 0.0000 0.2309 0.8651 1
O2 O 0.0000 0.2441 0.3755 1
O3 O 0.0000 0.2518 0.1393 1
O4 O 0.0000 0.2762 0.6063 1
O5 O 0.5000 0.0000 0.1239 1
O6 O 0.5000 0.0000 0.3642 1
O7 O 0.5000 0.0000 0.5963 1
O8 O 0.5000 0.5000 0.0131 1
O9 O 0.5000 0.5000 0.2616 1
O10 O 0.5000 0.5000 0.7781 1
```

Most intense lines, 2θ = 10–90°, by intensity:
d [Å]	2θ (°)	I (rel.)	hkl
3.198	27.90	1000	0 2 2
2.960	30.20	916	1 0 2
1.908	47.66	498	1 2 4
2.589	34.65	443	1 2 0
1.527	60.65	240	2 2 2
1.623	56.73	240	1 4 2
2.823	31.69	217	0 0 4
1.940	46.83	183	0 4 0